Entry 1:
Starting from a crystal structure in the Materials Project, relaxed with PBE+U, the X-ray diffraction stick pattern of MgWBr4O was simulated for CuKα.
Kinematic intensities with the Lorentz-polarization factor, no thermal factor.

The 8 most intense peaks (2θ = 10–80°), sorted by position:
Position (°2θ)	I (rel.)	hkl
13.23	45.5	0 0 1
24.51	100.0	1 1 -1
29.85	81.8	4 0 -1
31.04	39.2	1 1 -2
41.35	28.7	5 1 -2
42.71	41.5	2 0 2
45.76	47.1	3 1 -4
55.95	28.7	2 2 -3

Cell and atoms:
abc: 13.3872 3.9326 9.4650
angles: 90.00 134.99 90.00
Sites, in units of the cell vectors:
Mg 0.0000 0.0000 0.0000
Mg 0.5000 0.5000 0.0000
W 0.0000 0.2467 0.5000
W 0.5000 0.7467 0.5000
Br 0.0795 0.2967 0.8502
Br 0.2292 0.7023 0.3087
Br 0.2708 0.2023 0.6913
Br 0.4205 0.7967 0.1498
Br 0.5795 0.7967 0.8502
Br 0.7292 0.2023 0.3087
Br 0.7708 0.7023 0.6913
Br 0.9205 0.2967 0.1498
O 0.0000 0.7470 0.5000
O 0.5000 0.2470 0.5000

=====

Entry 2:
Starting from a crystal structure in the Materials Project, relaxed with PBE+U, the X-ray diffraction stick pattern of MgW2Br4O4 was simulated for CuKα.
Kinematic intensities with the Lorentz-polarization factor, no thermal factor.

The 8 most intense peaks (2θ = 10–80°), sorted by position:
Position (°2θ)	I (rel.)	hkl
22.59	100.0	0 2 0
22.75	99.1	1 0 0
24.74	41.5	1 0 1
29.16	40.6	0 0 3
31.98	39.2	1 2 0
32.57	37.0	1 -2 0
37.30	39.7	1 0 -3
45.82	24.0	1 0 -4

Cell and atoms:
abc: 3.9102 7.8731 9.1889
angles: 89.20 89.95 88.99
Sites, in units of the cell vectors:
Mg 0.0000 0.0000 0.0000
W 0.4944 0.2709 0.1587
W 0.5108 0.7602 0.1745
Br 0.5026 0.2662 0.4281
Br 0.5056 0.7923 0.8715
Br 0.5189 0.7721 0.4420
Br 0.5216 0.2582 0.8703
O 0.0020 0.2556 0.1437
O 0.0081 0.7995 0.1481
O 0.5016 0.0169 0.1361
O 0.5091 0.5244 0.1584

=====

Entry 3:
Starting from a crystal structure in the Materials Project, relaxed with PBE+U, the X-ray diffraction stick pattern of MgWBr4O was simulated for CuKα.
Kinematic intensities with the Lorentz-polarization factor, no thermal factor.

The 8 most intense peaks (2θ = 10–80°), sorted by position:
Position (°2θ)	I (rel.)	hkl
12.06	72.9	0 0 1
12.68	30.0	2 0 -1
24.06	100.0	1 1 0
27.46	29.5	2 0 1
28.32	31.8	4 0 -3
34.90	29.3	3 1 -3
42.95	31.3	3 1 1
43.73	26.9	5 1 -4

Cell and atoms:
abc: 13.9618 3.9740 10.1267
angles: 90.00 133.57 90.00
Sites, in units of the cell vectors:
Mg 0.0000 0.0000 0.0000
Mg 0.5000 0.5000 0.0000
W 0.2833 0.0000 0.9124
W 0.7833 0.5000 0.9124
Br 0.0501 0.0000 0.6168
Br 0.0537 0.5000 0.2264
Br 0.2351 0.0000 0.1211
Br 0.3784 0.0000 0.7503
Br 0.5501 0.5000 0.6168
Br 0.5537 0.0000 0.2264
Br 0.7351 0.5000 0.1211
Br 0.8784 0.5000 0.7503
O 0.3226 0.5000 0.9377
O 0.8226 0.0000 0.9377

=====

Entry 4:
Starting from a crystal structure in the Materials Project, relaxed with PBE+U, the X-ray diffraction stick pattern of MgW2Br4O4 was simulated for CuKα.
Kinematic intensities with the Lorentz-polarization factor, no thermal factor.

The 8 most intense peaks (2θ = 10–80°), sorted by position:
Position (°2θ)	I (rel.)	hkl
22.56	100.0	0 2 0
22.79	98.3	1 0 0
24.78	28.6	1 0 1
29.12	40.5	0 0 3
32.23	38.8	1 -2 0
32.34	37.7	1 2 0
37.32	59.1	1 0 -3
45.79	23.7	1 0 4

Cell and atoms:
abc: 3.9021 7.8829 9.2003
angles: 90.66 90.02 90.18
Sites, in units of the cell vectors:
Mg 0.0000 0.0000 0.0000
W 0.5009 0.7260 0.1609
W 0.5028 0.2365 0.1767
Br 0.5013 0.2060 0.8722
Br 0.5031 0.2220 0.4441
Br 0.5032 0.7321 0.4301
Br 0.5071 0.7395 0.8732
O 0.0026 0.1973 0.1493
O 0.0026 0.7377 0.1462
O 0.5015 0.9801 0.1367
O 0.5044 0.4715 0.1610

=====

Entry 5:
Starting from a crystal structure in the Materials Project, relaxed with PBE+U, the X-ray diffraction stick pattern of Mn4SiTeBr2O7 was simulated for CuKα.
Kinematic intensities with the Lorentz-polarization factor, no thermal factor.

The 8 most intense peaks (2θ = 10–80°), sorted by position:
Position (°2θ)	I (rel.)	hkl
17.61	41.2	1 0 1
27.11	100.0	0 2 0
27.97	69.8	0 2 -1
28.56	98.5	1 1 -3
29.88	87.9	1 1 3
34.05	81.8	0 0 5
34.86	89.2	1 2 2
35.22	97.5	2 1 -1

Cell and atoms:
abc: 5.5920 6.5754 13.1940
angles: 90.06 93.32 90.12
Sites, in units of the cell vectors:
Mn 0.0407 0.2498 0.3236
Mn 0.1489 0.2514 0.8365
Mn 0.3541 0.0047 0.1334
Mn 0.3540 0.4971 0.1325
Mn 0.6460 0.5029 0.8675
Mn 0.6459 0.9953 0.8666
Mn 0.8511 0.7486 0.1635
Mn 0.9593 0.7502 0.6764
Si 0.1563 0.7505 0.9388
Si 0.8437 0.2495 0.0612
Te 0.2936 0.7508 0.3435
Te 0.7064 0.2492 0.6565
Br 0.1495 0.2500 0.5176
Br 0.4265 0.7500 0.6790
Br 0.5735 0.2500 0.3210
Br 0.8505 0.7500 0.4824
O 0.1032 0.5472 0.2715
O 0.1028 0.9526 0.2709
O 0.1207 0.2505 0.1123
O 0.1542 0.7505 0.0655
O 0.2942 0.5386 0.9087
O 0.2941 0.9622 0.9083
O 0.4916 0.2495 0.7671
O 0.5084 0.7505 0.2329
O 0.7059 0.0378 0.0917
O 0.7058 0.4614 0.0913
O 0.8458 0.2495 0.9345
O 0.8793 0.7495 0.8877
O 0.8972 0.0474 0.7291
O 0.8968 0.4528 0.7285

=====

Entry 6:
Starting from a crystal structure in the Materials Project, relaxed with PBE+U, the X-ray diffraction stick pattern of MnZnBr4O6 was simulated for CuKα.
Kinematic intensities with the Lorentz-polarization factor, no thermal factor.

The 8 most intense peaks (2θ = 10–80°), sorted by position:
Position (°2θ)	I (rel.)	hkl
17.87	100.0	2 2 0
21.62	37.0	2 1 1
22.80	44.1	2 3 0
26.30	28.3	4 1 0
30.87	20.1	1 4 1
35.33	21.5	2 0 2
35.94	42.8	2 1 2
46.49	21.3	4 3 2

Cell and atoms:
abc: 13.9639 14.1090 5.4507
angles: 90.00 90.00 90.00
Sites, in units of the cell vectors:
Mn 0.0000 0.0000 0.0000
Mn 0.0000 0.5000 0.0000
Mn 0.5000 0.0000 0.0000
Mn 0.5000 0.5000 0.0000
Zn 0.1948 0.2000 0.5000
Zn 0.3052 0.7000 0.5000
Zn 0.6948 0.3000 0.5000
Zn 0.8052 0.8000 0.5000
Br 0.0432 0.1440 0.5000
Br 0.1162 0.4289 0.5000
Br 0.1819 0.7581 0.2427
Br 0.1819 0.7581 0.7573
Br 0.3181 0.2581 0.2427
Br 0.3181 0.2581 0.7573
Br 0.3838 0.9289 0.5000
Br 0.4568 0.6440 0.5000
Br 0.5432 0.3560 0.5000
Br 0.6162 0.0711 0.5000
Br 0.6819 0.7419 0.2427
Br 0.6819 0.7419 0.7573
Br 0.8181 0.2419 0.2427
Br 0.8181 0.2419 0.7573
Br 0.8838 0.5711 0.5000
Br 0.9568 0.8560 0.5000
O 0.0410 0.4050 0.2503
O 0.0410 0.4050 0.7497
O 0.0470 0.1261 0.0000
O 0.1084 0.5545 0.0000
O 0.1117 0.9862 0.1916
O 0.1117 0.9862 0.8084
O 0.3883 0.4862 0.1916
O 0.3883 0.4862 0.8084
O 0.3916 0.0545 0.0000
O 0.4530 0.6261 0.0000
O 0.4590 0.9050 0.2503
O 0.4590 0.9050 0.7497
O 0.5410 0.0950 0.2503
O 0.5410 0.0950 0.7497
O 0.5470 0.3739 0.0000
O 0.6084 0.9455 0.0000
O 0.6117 0.5138 0.1916
O 0.6117 0.5138 0.8084
O 0.8883 0.0138 0.1916
O 0.8883 0.0138 0.8084
O 0.8916 0.4455 0.0000
O 0.9530 0.8739 0.0000
O 0.9590 0.5950 0.2503
O 0.9590 0.5950 0.7497

=====

Entry 7:
Starting from a crystal structure in the Materials Project, relaxed with PBE+U, the X-ray diffraction stick pattern of MnZnBr4O6 was simulated for CuKα.
Kinematic intensities with the Lorentz-polarization factor, no thermal factor.

The 8 most intense peaks (2θ = 10–80°), sorted by position:
Position (°2θ)	I (rel.)	hkl
12.07	54.7	0 2 0
14.65	77.7	0 2 1
16.59	74.8	0 0 2
17.20	100.0	1 2 1
22.47	46.0	1 2 2
23.27	43.5	2 2 1
24.99	63.4	0 0 3
30.95	70.0	2 0 3

Cell and atoms:
abc: 9.8657 14.6691 10.6901
angles: 90.00 90.00 90.00
Sites, in units of the cell vectors:
Mn 0.0000 0.0000 0.0000
Mn 0.0000 0.5000 0.0000
Mn 0.5000 0.0000 0.0000
Mn 0.5000 0.5000 0.0000
Zn 0.1574 0.1728 0.5000
Zn 0.3426 0.6728 0.5000
Zn 0.6574 0.3272 0.5000
Zn 0.8426 0.8272 0.5000
Br 0.0566 0.3088 0.5000
Br 0.2354 0.0314 0.5000
Br 0.2411 0.3962 0.1560
Br 0.2411 0.3962 0.8440
Br 0.2589 0.8962 0.1560
Br 0.2589 0.8962 0.8440
Br 0.2646 0.5314 0.5000
Br 0.4434 0.8088 0.5000
Br 0.5566 0.1912 0.5000
Br 0.7354 0.4686 0.5000
Br 0.7411 0.1038 0.1560
Br 0.7411 0.1038 0.8440
Br 0.7589 0.6038 0.1560
Br 0.7589 0.6038 0.8440
Br 0.7646 0.9686 0.5000
Br 0.9434 0.6912 0.5000
O 0.0128 0.6153 0.0000
O 0.0895 0.9234 0.1463
O 0.0895 0.9234 0.8537
O 0.1282 0.0759 0.0000
O 0.1410 0.4919 0.1492
O 0.1410 0.4919 0.8508
O 0.3590 0.9919 0.1492
O 0.3590 0.9919 0.8508
O 0.3718 0.5759 0.0000
O 0.4105 0.4234 0.1463
O 0.4105 0.4234 0.8537
O 0.4872 0.1153 0.0000
O 0.5128 0.8847 0.0000
O 0.5895 0.5766 0.1463
O 0.5895 0.5766 0.8537
O 0.6282 0.4241 0.0000
O 0.6410 0.0081 0.1492
O 0.6410 0.0081 0.8508
O 0.8590 0.5081 0.1492
O 0.8590 0.5081 0.8508
O 0.8718 0.9241 0.0000
O 0.9105 0.0766 0.1463
O 0.9105 0.0766 0.8537
O 0.9872 0.3847 0.0000

=====

Entry 8:
Starting from a crystal structure in the Materials Project, relaxed with PBE+U, the X-ray diffraction stick pattern of MoBr5N2O was simulated for CuKα.
Kinematic intensities with the Lorentz-polarization factor, no thermal factor.

The 8 most intense peaks (2θ = 10–80°), sorted by position:
Position (°2θ)	I (rel.)	hkl
14.35	46.1	2 1 0
14.89	69.0	0 1 1
16.90	100.0	2 0 1
28.93	67.8	4 2 0
30.05	24.7	0 2 2
30.38	36.9	3 0 2
30.63	21.4	1 2 2
34.16	76.5	0 4 0

Cell and atoms:
abc: 15.2567 10.5093 7.2144
angles: 90.00 90.00 90.00
Sites, in units of the cell vectors:
Mo 0.0844 0.2500 0.1829
Mo 0.4156 0.7500 0.6829
Mo 0.5844 0.2500 0.3171
Mo 0.9156 0.7500 0.8171
Br 0.0062 0.2500 0.4771
Br 0.1047 0.0158 0.1901
Br 0.1047 0.4842 0.1901
Br 0.2270 0.2500 0.9765
Br 0.2472 0.7500 0.8706
Br 0.2528 0.2500 0.3706
Br 0.2730 0.7500 0.4765
Br 0.3953 0.5158 0.6901
Br 0.3953 0.9842 0.6901
Br 0.4938 0.7500 0.9771
Br 0.5062 0.2500 0.0229
Br 0.6047 0.0158 0.3099
Br 0.6047 0.4842 0.3099
Br 0.7270 0.2500 0.5235
Br 0.7472 0.7500 0.6294
Br 0.7528 0.2500 0.1294
Br 0.7730 0.7500 0.0235
Br 0.8953 0.5158 0.8099
Br 0.8953 0.9842 0.8099
Br 0.9938 0.7500 0.5229
N 0.1442 0.0020 0.6560
N 0.1442 0.4980 0.6560
N 0.3558 0.5020 0.1560
N 0.3558 0.9980 0.1560
N 0.6442 0.0020 0.8440
N 0.6442 0.4980 0.8440
N 0.8558 0.5020 0.3440
N 0.8558 0.9980 0.3440
O 0.0054 0.2500 0.0168
O 0.4946 0.7500 0.5168
O 0.5054 0.2500 0.4832
O 0.9946 0.7500 0.9832